Structure and simulated PXRD pattern of Hf5Fe6 (the PBE geometry in Alexandria; a wavelength of 1.5418 Å).
Kinematic intensities with the Lorentz-polarization factor, no thermal factor.

Structure:
abc: 7.526 7.526 7.526
angles: 146.69 130.75 60.76
Atoms (fractional coordinates):
Hf (0.000, 0.000, 0.000)
Hf (0.173, 0.673, 0.500)
Hf (0.352, 0.352, 0.000)
Hf (0.648, 0.648, 0.000)
Hf (0.827, 0.327, 0.500)
Fe (0.077, 0.832, 0.245)
Fe (0.227, 0.500, 0.727)
Fe (0.413, 0.168, 0.245)
Fe (0.587, 0.832, 0.755)
Fe (0.773, 0.500, 0.273)
Fe (0.923, 0.168, 0.755)

Peak list (12 most intense, 2θ = 10–80°, in order of falling intensity)
d 2.188, rel. 100
d 2.157, rel. 25
d 2.164, rel. 22
d 3.055, rel. 21
d 1.251, rel. 16
d 1.528, rel. 14
d 3.136, rel. 13
d 3.117, rel. 12
d 1.254, rel. 11
d 2.399, rel. 10
d 1.568, rel. 9
d 5.647, rel. 9